[1]
Theoretical XRD peak list
Compound: BeBiF6
Radiation: Cu Kα (λ = 1.5418 Å)
Structure: a GGA-PBE-relaxed structure
Kinematic intensities with the Lorentz-polarization factor, no thermal factor.

Peak list (6 most intense, 15 to 90 degrees two-theta, sorted by position)
(0 0 3), d 4.530, I 313
(1 0 1), d 4.203, I 808
(0 1 2), d 3.705, I 1000
(1 0 4), d 2.694, I 336
(1 1 3), d 2.223, I 502
(2 -1 6), d 1.694, I 281

```
data_BeBiF6
_symmetry_space_group_name_H-M 'R -3'
_symmetry_Int_Tables_number 148
_symmetry_space_group_name_Hall '-R 3'
_cell_length_a 5.1040
_cell_length_b 5.1040
_cell_length_c 13.5892
_cell_angle_alpha 90.00
_cell_angle_beta 90.00
_cell_angle_gamma 120.00
loop_
_atom_site_label
_atom_site_fract_x
_atom_site_fract_y
_atom_site_fract_z
Be1 0.0000 0.0000 0.0000
Bi1 0.0000 0.0000 0.5000
F1 0.0151 0.2919 0.0746
```

***

[2]
Theoretical XRD peak list
Compound: BeBiH
Radiation: Cu Kα (λ = 1.5418 Å)
Structure: a GGA-PBE-relaxed structure
Kinematic intensities with the Lorentz-polarization factor, no thermal factor.

Peak list (6 most intense, 15 to 90 degrees two-theta, sorted by position)
(0 2 0), d 4.730, I 905
(1 0 1), d 3.246, I 799
(1 2 1), d 2.677, I 1000
(0 2 2), d 2.156, I 283
(1 4 1), d 1.912, I 375
(2 4 2), d 1.338, I 252

```
data_BeBiH
_symmetry_space_group_name_H-M 'I m m a'
_symmetry_Int_Tables_number 74
_symmetry_space_group_name_Hall '-I 2b 2'
_cell_length_a 4.3723
_cell_length_b 9.4607
_cell_length_c 4.8457
_cell_angle_alpha 90.00
_cell_angle_beta 90.00
_cell_angle_gamma 90.00
loop_
_atom_site_label
_atom_site_fract_x
_atom_site_fract_y
_atom_site_fract_z
Be1 0.2500 0.2500 0.2500
Bi1 0.0000 0.0000 0.0000
H1 0.0000 0.2500 0.4485
```

***

[3]
Theoretical XRD peak list
Compound: BeBiPH
Radiation: Cu Kα (λ = 1.5418 Å)
Structure: a GGA-PBE-relaxed structure
Kinematic intensities with the Lorentz-polarization factor, no thermal factor.

Peak list (6 most intense, 15 to 90 degrees two-theta, sorted by position)
(0 0 2), d 3.425, I 405
(1 0 0), d 3.104, I 1000
(1 0 1), d 2.827, I 906
(0 1 2), d 2.300, I 822
(1 0 3), d 1.839, I 325
(1 1 2), d 1.588, I 270

```
data_BeBiPH
_symmetry_space_group_name_H-M 'P 3 m 1'
_symmetry_Int_Tables_number 156
_symmetry_space_group_name_Hall 'P 3 -2"'
_cell_length_a 3.5837
_cell_length_b 3.5837
_cell_length_c 6.8504
_cell_angle_alpha 90.00
_cell_angle_beta 90.00
_cell_angle_gamma 120.00
loop_
_atom_site_label
_atom_site_fract_x
_atom_site_fract_y
_atom_site_fract_z
Be1 0.0000 0.0000 0.0000
Bi1 0.3333 0.6667 0.6149
P1 0.3333 0.6667 0.0493
H1 0.3333 0.6667 0.2736
```

***

[4]
Theoretical XRD peak list
Compound: BeBiHPb
Radiation: Cu Kα (λ = 1.5418 Å)
Structure: a GGA-PBE-relaxed structure
Kinematic intensities with the Lorentz-polarization factor, no thermal factor.

Peak list (6 most intense, 15 to 90 degrees two-theta, sorted by position)
(1 1 1), d 3.650, I 1000
(1 0 -1), d 2.782, I 373
(1 1 2), d 2.763, I 327
(1 1 -1), d 2.488, I 200
(1 0 2), d 2.476, I 396
(2 1 1), d 2.161, I 410

```
data_BeBiHPb
_symmetry_space_group_name_H-M 'P 1'
_symmetry_Int_Tables_number 1
_symmetry_space_group_name_Hall 'P 1'
_cell_length_a 4.3176
_cell_length_b 4.3213
_cell_length_c 6.0405
_cell_angle_alpha 69.36
_cell_angle_beta 69.50
_cell_angle_gamma 60.10
loop_
_atom_site_label
_atom_site_fract_x
_atom_site_fract_y
_atom_site_fract_z
Be1 0.0000 0.0000 0.0000
Bi1 0.3856 0.3874 0.8393
H1 0.9138 0.9123 0.2597
Pb1 0.1756 0.1811 0.4510
```